No. 1
Calculated powder diffraction line list of IrBr4 for Cu Kα X-rays, from a structure optimized by DFT (PBE).
No peak broadening, texture or thermal motion is included.

Cell and atoms:
```
data_IrBr4
_chemical_formula_sum 'Ir2 Br8'
_cell_length_a 3.663
_cell_length_b 5.896
_cell_length_c 12.963
_cell_angle_alpha 90.00
_cell_angle_beta 90.00
_cell_angle_gamma 90.00
_symmetry_space_group_name_H-M 'P 1'
_symmetry_Int_Tables_number 1
loop_
_symmetry_equiv_pos_as_xyz
'x,y,z'
loop_
_atom_site_label
_atom_site_type_symbol
_atom_site_fract_x
_atom_site_fract_y
_atom_site_fract_z
_atom_site_occupancy
Ir1 Ir 0.000 0.248 0.000 1
Ir2 Ir 0.000 0.752 0.500 1
Br1 Br 0.000 0.001 0.347 1
Br2 Br 0.000 0.496 0.153 1
Br3 Br 0.000 0.504 0.653 1
Br4 Br 0.000 0.999 0.847 1
Br5 Br 0.500 0.016 0.079 1
Br6 Br 0.500 0.479 0.921 1
Br7 Br 0.500 0.521 0.421 1
Br8 Br 0.500 0.984 0.579 1
```

Main lines, in order of rising 2θ (10° ≤ 2θ ≤ 90°):
d/Å	intensity
6.482	89
5.367	100
3.026	35
2.840	33
2.805	82
2.181	34
2.165	54
1.861	35

=====

No. 2
Calculated powder diffraction line list of La3IrBr3 for Cu Kα X-rays, from a structure optimized by DFT (PBE).
No peak broadening, texture or thermal motion is included.

Cell and atoms:
```
data_La3IrBr3
_chemical_formula_sum 'La12 Ir4 Br12'
_cell_length_a 10.572
_cell_length_b 10.572
_cell_length_c 10.572
_cell_angle_alpha 109.47
_cell_angle_beta 109.47
_cell_angle_gamma 109.47
_symmetry_space_group_name_H-M 'P 1'
_symmetry_Int_Tables_number 1
loop_
_symmetry_equiv_pos_as_xyz
'x,y,z'
loop_
_atom_site_label
_atom_site_type_symbol
_atom_site_fract_x
_atom_site_fract_y
_atom_site_fract_z
_atom_site_occupancy
La1 La 0.015 0.030 0.265 1
La2 La 0.015 0.485 0.750 1
La3 La 0.030 0.265 0.015 1
La4 La 0.235 0.265 0.750 1
La5 La 0.235 0.470 0.485 1
La6 La 0.265 0.015 0.030 1
La7 La 0.265 0.750 0.235 1
La8 La 0.470 0.485 0.235 1
La9 La 0.485 0.235 0.470 1
La10 La 0.485 0.750 0.015 1
La11 La 0.750 0.015 0.485 1
La12 La 0.750 0.235 0.265 1
Ir1 Ir 0.000 0.250 0.500 1
Ir2 Ir 0.250 0.250 0.250 1
Ir3 Ir 0.250 0.500 0.000 1
Ir4 Ir 0.500 0.000 0.250 1
Br1 Br 0.250 0.757 0.743 1
Br2 Br 0.250 0.993 0.507 1
Br3 Br 0.507 0.250 0.993 1
Br4 Br 0.507 0.757 0.514 1
Br5 Br 0.514 0.507 0.757 1
Br6 Br 0.743 0.250 0.757 1
Br7 Br 0.743 0.993 0.986 1
Br8 Br 0.757 0.514 0.507 1
Br9 Br 0.757 0.743 0.250 1
Br10 Br 0.986 0.743 0.993 1
Br11 Br 0.993 0.507 0.250 1
Br12 Br 0.993 0.986 0.743 1
```

Main lines, in order of rising 2θ (10° ≤ 2θ ≤ 90°):
d/Å	intensity
8.632	62
3.860	12
3.052	100
2.394	15
2.158	72
1.762	24
1.365	28
1.246	20

=====

No. 3
Calculated powder diffraction line list of Te7IrBr7 for Cu Kα X-rays, from a structure optimized by DFT (PBE).
No peak broadening, texture or thermal motion is included.

Cell and atoms:
```
data_Te7IrBr7
_chemical_formula_sum 'Te14 Ir2 Br14'
_cell_length_a 9.751
_cell_length_b 10.365
_cell_length_c 11.916
_cell_angle_alpha 94.41
_cell_angle_beta 113.19
_cell_angle_gamma 112.00
_symmetry_space_group_name_H-M 'P 1'
_symmetry_Int_Tables_number 1
loop_
_symmetry_equiv_pos_as_xyz
'x,y,z'
loop_
_atom_site_label
_atom_site_type_symbol
_atom_site_fract_x
_atom_site_fract_y
_atom_site_fract_z
_atom_site_occupancy
Te1 Te 0.068 0.257 0.228 1
Te2 Te 0.068 0.845 0.524 1
Te3 Te 0.078 0.450 0.792 1
Te4 Te 0.212 0.548 0.531 1
Te5 Te 0.229 0.781 0.389 1
Te6 Te 0.245 0.340 0.689 1
Te7 Te 0.381 0.836 0.841 1
Te8 Te 0.619 0.164 0.159 1
Te9 Te 0.755 0.660 0.311 1
Te10 Te 0.771 0.219 0.611 1
Te11 Te 0.788 0.452 0.469 1
Te12 Te 0.922 0.550 0.208 1
Te13 Te 0.932 0.155 0.476 1
Te14 Te 0.932 0.743 0.772 1
Ir1 Ir 0.083 0.651 0.660 1
Ir2 Ir 0.917 0.349 0.340 1
Br1 Br 0.110 0.030 0.816 1
Br2 Br 0.141 0.768 0.008 1
Br3 Br 0.279 0.539 0.237 1
Br4 Br 0.299 0.237 0.463 1
Br5 Br 0.407 0.195 0.220 1
Br6 Br 0.421 0.049 0.709 1
Br7 Br 0.438 0.645 0.980 1
Br8 Br 0.562 0.355 0.020 1
Br9 Br 0.579 0.951 0.291 1
Br10 Br 0.593 0.805 0.780 1
Br11 Br 0.701 0.763 0.537 1
Br12 Br 0.721 0.461 0.763 1
Br13 Br 0.859 0.232 0.992 1
Br14 Br 0.890 0.970 0.184 1
```

Main lines, in order of rising 2θ (10° ≤ 2θ ≤ 90°):
d/Å	intensity
8.556	60
8.080	100
3.055	44
3.019	27
2.767	62
2.743	37
2.702	37
2.011	19

=====

No. 4
Calculated powder diffraction line list of YIrBr6 for Cu Kα X-rays, from a structure optimized by DFT (PBE).
No peak broadening, texture or thermal motion is included.

Cell and atoms:
```
data_YIrBr6
_chemical_formula_sum 'Y2 Ir2 Br12'
_cell_length_a 6.662
_cell_length_b 11.501
_cell_length_c 6.827
_cell_angle_alpha 90.00
_cell_angle_beta 109.35
_cell_angle_gamma 90.00
_symmetry_space_group_name_H-M 'P 1'
_symmetry_Int_Tables_number 1
loop_
_symmetry_equiv_pos_as_xyz
'x,y,z'
loop_
_atom_site_label
_atom_site_type_symbol
_atom_site_fract_x
_atom_site_fract_y
_atom_site_fract_z
_atom_site_occupancy
Y1 Y 0.000 0.000 0.000 1
Y2 Y 0.500 0.500 0.000 1
Ir1 Ir 0.000 0.332 0.000 1
Ir2 Ir 0.500 0.832 0.000 1
Br1 Br 0.224 0.330 0.766 1
Br2 Br 0.228 0.485 0.237 1
Br3 Br 0.235 0.183 0.240 1
Br4 Br 0.265 0.683 0.760 1
Br5 Br 0.272 0.985 0.763 1
Br6 Br 0.276 0.830 0.234 1
Br7 Br 0.724 0.830 0.766 1
Br8 Br 0.728 0.985 0.237 1
Br9 Br 0.735 0.683 0.240 1
Br10 Br 0.765 0.183 0.760 1
Br11 Br 0.772 0.485 0.763 1
Br12 Br 0.776 0.330 0.234 1
```

Main lines, in order of rising 2θ (10° ≤ 2θ ≤ 90°):
d/Å	intensity
6.441	72
5.751	24
5.516	42
4.963	28
2.751	53
2.734	100
1.957	36
1.922	32

=====

No. 5
Calculated powder diffraction line list of K2TlPdBr6 for Cu Kα X-rays, from a structure optimized by DFT (PBE).
No peak broadening, texture or thermal motion is included.

Cell and atoms:
```
data_K2TlPdBr6
_chemical_formula_sum 'K4 Tl2 Pd2 Br12'
_cell_length_a 7.495
_cell_length_b 8.050
_cell_length_c 13.212
_cell_angle_alpha 90.00
_cell_angle_beta 123.68
_cell_angle_gamma 90.00
_symmetry_space_group_name_H-M 'P 1'
_symmetry_Int_Tables_number 1
loop_
_symmetry_equiv_pos_as_xyz
'x,y,z'
loop_
_atom_site_label
_atom_site_type_symbol
_atom_site_fract_x
_atom_site_fract_y
_atom_site_fract_z
_atom_site_occupancy
K1 K 0.216 0.084 0.243 1
K2 K 0.216 0.416 0.743 1
K3 K 0.784 0.584 0.257 1
K4 K 0.784 0.916 0.757 1
Tl1 Tl 0.500 0.000 0.000 1
Tl2 Tl 0.500 0.500 0.500 1
Pd1 Pd 0.000 0.000 0.500 1
Pd2 Pd 0.000 0.500 0.000 1
Br1 Br 0.142 0.217 0.962 1
Br2 Br 0.142 0.283 0.462 1
Br3 Br 0.235 0.669 0.954 1
Br4 Br 0.235 0.831 0.454 1
Br5 Br 0.311 0.005 0.729 1
Br6 Br 0.311 0.495 0.229 1
Br7 Br 0.689 0.505 0.771 1
Br8 Br 0.689 0.995 0.271 1
Br9 Br 0.765 0.169 0.546 1
Br10 Br 0.765 0.331 0.046 1
Br11 Br 0.858 0.717 0.538 1
Br12 Br 0.858 0.783 0.038 1
```

Main lines, in order of rising 2θ (10° ≤ 2θ ≤ 90°):
d/Å	intensity
5.489	100
3.272	13
3.257	17
2.745	60
2.526	22
2.470	19
2.444	21
2.177	13

=====

No. 6
Calculated powder diffraction line list of KTlPdBr4 for Cu Kα X-rays, from a structure optimized by DFT (PBE).
No peak broadening, texture or thermal motion is included.

Cell and atoms:
```
data_KTlPdBr4
_chemical_formula_sum 'K1 Tl1 Pd1 Br4'
_cell_length_a 4.422
_cell_length_b 7.496
_cell_length_c 7.539
_cell_angle_alpha 90.00
_cell_angle_beta 90.00
_cell_angle_gamma 90.00
_symmetry_space_group_name_H-M 'P 1'
_symmetry_Int_Tables_number 1
loop_
_symmetry_equiv_pos_as_xyz
'x,y,z'
loop_
_atom_site_label
_atom_site_type_symbol
_atom_site_fract_x
_atom_site_fract_y
_atom_site_fract_z
_atom_site_occupancy
K1 K 0.000 0.000 0.000 1
Tl1 Tl 0.000 0.500 0.500 1
Pd1 Pd 0.500 0.500 0.000 1
Br1 Br 0.500 0.267 0.232 1
Br2 Br 0.500 0.267 0.768 1
Br3 Br 0.500 0.733 0.232 1
Br4 Br 0.500 0.733 0.768 1
```

Main lines, in order of rising 2θ (10° ≤ 2θ ≤ 90°):
d/Å	intensity
7.496	100
3.814	44
3.399	90
2.869	47
2.859	47
2.658	82
1.886	34
1.700	42